The following is a theoretical powder XRD pattern of Ni4O. It was derived from a structure optimized by DFT (PBE+U), using Cu Kα, 1.54184 Å.
Peak positions follow from Bragg's law for the DFT cell and can differ from measured ones.

Most intense lines, 10° ≤ 2θ ≤ 90°, sorted by position:
2θ = 23.19°, d = 3.836 Å, intensity 2
2θ = 33.03°, d = 2.712 Å, intensity 1
2θ = 40.75°, d = 2.214 Å, intensity 100
2θ = 47.40°, d = 1.918 Å, intensity 60
2θ = 69.29°, d = 1.356 Å, intensity 35
2θ = 83.61°, d = 1.156 Å, intensity 33
2θ = 88.25°, d = 1.107 Å, intensity 12

Crystal structure
```
data_Ni4O
_symmetry_space_group_name_H-M 'P m -3 m'
_symmetry_Int_Tables_number 221
_symmetry_space_group_name_Hall '-P 4 2 3'
_cell_length_a 3.8356
_cell_length_b 3.8356
_cell_length_c 3.8356
_cell_angle_alpha 90.00
_cell_angle_beta 90.00
_cell_angle_gamma 90.00
loop_
_atom_site_label
_atom_site_fract_x
_atom_site_fract_y
_atom_site_fract_z
Ni1 0.0000 0.0000 0.0000
Ni2 0.0000 0.5000 0.5000
O1 0.5000 0.5000 0.5000
```

***

The following is a theoretical powder XRD pattern of Ni5O11. It was derived from a structure optimized by DFT (PBE+U), using Cu Kα, 1.54184 Å.
Peak positions follow from Bragg's law for the DFT cell and can differ from measured ones.

Most intense lines, 10° ≤ 2θ ≤ 90°, sorted by position:
2θ = 16.33°, d = 5.427 Å, intensity 100
2θ = 33.01°, d = 2.713 Å, intensity 7
2θ = 36.83°, d = 2.440 Å, intensity 16
2θ = 39.29°, d = 2.293 Å, intensity 11
2θ = 39.32°, d = 2.291 Å, intensity 11
2θ = 42.88°, d = 2.109 Å, intensity 10
2θ = 48.22°, d = 1.887 Å, intensity 16
2θ = 66.32°, d = 1.409 Å, intensity 11

Crystal structure
```
data_Ni5O11
_symmetry_space_group_name_H-M 'P -1'
_symmetry_Int_Tables_number 2
_cell_length_a 4.8945
_cell_length_b 6.5058
_cell_length_c 6.8054
_cell_angle_alpha 111.05
_cell_angle_beta 107.69
_cell_angle_gamma 93.90
loop_
_symmetry_equiv_pos_as_xyz
'x,y,z'
'-x,-y,-z'
loop_
_atom_site_label
_atom_site_fract_x
_atom_site_fract_y
_atom_site_fract_z
Ni1 0.0000 0.0000 0.0000
Ni2 0.2014 0.4024 0.4055
Ni3 0.4052 0.8012 0.7964
O1 0.0000 0.0000 0.5000
O2 0.0406 0.8759 0.6851
O3 0.1645 0.5170 0.6886
O4 0.2374 0.2890 0.1202
O5 0.3630 0.9094 0.0801
O6 0.4399 0.6859 0.5087
```

***

The following is a theoretical powder XRD pattern of Ni15O16. It was derived from a structure optimized by DFT (PBE+U), using Cu Kα, 1.54184 Å.
Peak positions follow from Bragg's law for the DFT cell and can differ from measured ones.

Most intense lines, 10° ≤ 2θ ≤ 90°, sorted by position:
2θ = 18.28°, d = 4.854 Å, intensity 5
2θ = 37.04°, d = 2.427 Å, intensity 71
2θ = 43.04°, d = 2.102 Å, intensity 100
2θ = 62.49°, d = 1.486 Å, intensity 57
2θ = 74.91°, d = 1.268 Å, intensity 21
2θ = 74.99°, d = 1.267 Å, intensity 7
2θ = 78.85°, d = 1.214 Å, intensity 13
2θ = 78.99°, d = 1.212 Å, intensity 4

Crystal structure
```
data_Ni15O16
_symmetry_space_group_name_H-M 'R -3 m'
_symmetry_Int_Tables_number 166
_symmetry_space_group_name_Hall '-R 3 2"'
_cell_length_a 5.9479
_cell_length_b 5.9479
_cell_length_c 29.0905
_cell_angle_alpha 90.00
_cell_angle_beta 90.00
_cell_angle_gamma 120.00
loop_
_atom_site_label
_atom_site_fract_x
_atom_site_fract_y
_atom_site_fract_z
Ni1 0.0000 0.0000 0.0000
Ni2 0.0000 0.0000 0.2508
Ni3 0.0000 0.5000 0.0000
Ni4 0.0000 0.5000 0.5000
Ni5 0.0063 0.5031 0.2477
O1 0.0000 0.0000 0.1251
O2 0.0000 0.0000 0.3750
O3 0.0029 0.5015 0.6255
O4 0.0202 0.5101 0.8777
```

***

The following is a theoretical powder XRD pattern of Ni6O7. It was derived from a structure optimized by DFT (PBE+U), using Cu Kα, 1.54184 Å.
Peak positions follow from Bragg's law for the DFT cell and can differ from measured ones.

Most intense lines, 10° ≤ 2θ ≤ 90°, sorted by position:
2θ = 37.33°, d = 2.409 Å, intensity 100
2θ = 37.40°, d = 2.404 Å, intensity 33
2θ = 43.23°, d = 2.093 Å, intensity 69
2θ = 43.36°, d = 2.087 Å, intensity 69
2θ = 43.60°, d = 2.076 Å, intensity 67
2θ = 62.89°, d = 1.478 Å, intensity 39
2θ = 63.07°, d = 1.474 Å, intensity 58
2θ = 63.30°, d = 1.469 Å, intensity 19

Crystal structure
```
data_Ni6O7
_symmetry_space_group_name_H-M 'P -1'
_symmetry_Int_Tables_number 2
_cell_length_a 5.1132
_cell_length_b 5.8962
_cell_length_c 8.8599
_cell_angle_alpha 90.03
_cell_angle_beta 95.45
_cell_angle_gamma 107.24
loop_
_symmetry_equiv_pos_as_xyz
'x,y,z'
'-x,-y,-z'
loop_
_atom_site_label
_atom_site_fract_x
_atom_site_fract_y
_atom_site_fract_z
Ni1 0.0000 0.0000 0.0000
Ni2 0.0000 0.5000 0.0000
Ni3 0.1448 0.2866 0.2834
Ni4 0.2734 0.5682 0.5681
Ni5 0.2844 0.0717 0.5705
Ni6 0.4226 0.3524 0.8520
Ni7 0.4389 0.8640 0.8537
O1 0.0079 0.2547 0.4876
O2 0.1590 0.0264 0.7880
O3 0.1619 0.5578 0.7952
O4 0.2825 0.3230 0.0703
O5 0.2979 0.8252 0.0583
O6 0.4521 0.1276 0.3637
O7 0.4565 0.5975 0.3615
```

***

The following is a theoretical powder XRD pattern of Ni9O13. It was derived from a structure optimized by DFT (PBE+U), using Cu Kα, 1.54184 Å.
Peak positions follow from Bragg's law for the DFT cell and can differ from measured ones.

Most intense lines, 10° ≤ 2θ ≤ 90°, sorted by position:
2θ = 12.18°, d = 7.264 Å, intensity 59
2θ = 32.77°, d = 2.733 Å, intensity 54
2θ = 33.69°, d = 2.660 Å, intensity 100
2θ = 35.67°, d = 2.517 Å, intensity 49
2θ = 41.58°, d = 2.172 Å, intensity 58
2θ = 42.82°, d = 2.112 Å, intensity 99
2θ = 43.55°, d = 2.078 Å, intensity 57
2θ = 45.98°, d = 1.974 Å, intensity 65

Crystal structure
```
data_Ni9O13
_symmetry_space_group_name_H-M 'C 1 2/m 1'
_symmetry_Int_Tables_number 12
_cell_length_a 10.4743
_cell_length_b 2.9049
_cell_length_c 14.6105
_cell_angle_alpha 90.00
_cell_angle_beta 96.08
_cell_angle_gamma 90.00
loop_
_symmetry_equiv_pos_as_xyz
'x,y,z'
'-x,-y,-z'
'-x,y,-z'
'x,-y,z'
'x+1/2,y+1/2,z'
'-x+1/2,-y+1/2,-z'
'-x+1/2,y+1/2,-z'
'x+1/2,-y+1/2,z'
loop_
_atom_site_label
_atom_site_fract_x
_atom_site_fract_y
_atom_site_fract_z
Ni1 0.0000 0.0000 0.0000
Ni2 0.0434 0.5000 0.8288
Ni3 0.1304 0.5000 0.6326
Ni4 0.1320 0.0000 0.4550
Ni5 0.2238 0.0000 0.1081
O1 0.0000 0.5000 0.5000
O2 0.0022 0.0000 0.3384
O3 0.0411 0.0000 0.2499
O4 0.0897 0.5000 0.0909
O5 0.1378 0.0000 0.9133
O6 0.1867 0.5000 0.7657
O7 0.2373 0.0000 0.5808
```

***

The following is a theoretical powder XRD pattern of Ni15O16. It was derived from a structure optimized by DFT (PBE+U), using Cu Kα, 1.54184 Å.
Peak positions follow from Bragg's law for the DFT cell and can differ from measured ones.

Most intense lines, 10° ≤ 2θ ≤ 90°, sorted by position:
2θ = 14.90°, d = 5.947 Å, intensity 8
2θ = 25.95°, d = 3.434 Å, intensity 8
2θ = 33.70°, d = 2.660 Å, intensity 3
2θ = 37.03°, d = 2.428 Å, intensity 71
2θ = 43.02°, d = 2.103 Å, intensity 100
2θ = 62.46°, d = 1.487 Å, intensity 57
2θ = 74.89°, d = 1.268 Å, intensity 27
2θ = 78.85°, d = 1.214 Å, intensity 18

Crystal structure
```
data_Ni15O16
_symmetry_space_group_name_H-M 'I m -3 m'
_symmetry_Int_Tables_number 229
_symmetry_space_group_name_Hall '-I 4 2 3'
_cell_length_a 8.4106
_cell_length_b 8.4106
_cell_length_c 8.4106
_cell_angle_alpha 90.00
_cell_angle_beta 90.00
_cell_angle_gamma 90.00
loop_
_atom_site_label
_atom_site_fract_x
_atom_site_fract_y
_atom_site_fract_z
Ni1 0.0000 0.0000 0.5000
Ni2 0.0000 0.2463 0.2463
O1 0.0000 0.0000 0.2682
O2 0.0000 0.2500 0.5000
O3 0.2500 0.2500 0.2500
```

***

The following is a theoretical powder XRD pattern of NiO2. It was derived from a structure optimized by DFT (PBE+U), using Cu Kα, 1.54184 Å.
Peak positions follow from Bragg's law for the DFT cell and can differ from measured ones.

Most intense lines, 10° ≤ 2θ ≤ 90°, sorted by position:
2θ = 18.32°, d = 4.844 Å, intensity 100
2θ = 21.98°, d = 4.044 Å, intensity 47
2θ = 30.71°, d = 2.912 Å, intensity 39
2θ = 36.98°, d = 2.431 Å, intensity 35
2θ = 37.46°, d = 2.401 Å, intensity 67
2θ = 44.82°, d = 2.022 Å, intensity 42
2θ = 58.43°, d = 1.580 Å, intensity 29
2θ = 63.95°, d = 1.456 Å, intensity 26

Crystal structure
```
data_NiO2
_symmetry_space_group_name_H-M 'R 3 m'
_symmetry_Int_Tables_number 160
_symmetry_space_group_name_Hall 'R 3 -2"'
_cell_length_a 5.6211
_cell_length_b 5.6211
_cell_length_c 14.5320
_cell_angle_alpha 90.00
_cell_angle_beta 90.00
_cell_angle_gamma 120.00
loop_
_atom_site_label
_atom_site_fract_x
_atom_site_fract_y
_atom_site_fract_z
Ni1 0.0000 0.0000 0.0000
Ni2 0.0034 0.5017 0.1224
O1 0.0000 0.0000 0.3885
O2 0.0000 0.0000 0.8584
O3 0.0203 0.5102 0.3881
O4 0.1853 0.3706 0.1925
```

***

The following is a theoretical powder XRD pattern of Pm2NiOsO8. It was derived from a structure optimized by DFT (PBE+U), using Cu Kα, 1.54184 Å.
Peak positions follow from Bragg's law for the DFT cell and can differ from measured ones.

Most intense lines, 10° ≤ 2θ ≤ 90°, sorted by position:
2θ = 25.78°, d = 3.455 Å, intensity 100
2θ = 27.36°, d = 3.259 Å, intensity 37
2θ = 28.59°, d = 3.122 Å, intensity 46
2θ = 29.26°, d = 3.053 Å, intensity 71
2θ = 32.79°, d = 2.732 Å, intensity 78
2θ = 33.79°, d = 2.653 Å, intensity 42
2θ = 43.48°, d = 2.081 Å, intensity 27
2θ = 48.64°, d = 1.872 Å, intensity 27

Crystal structure
```
data_Pm2NiOsO8
_symmetry_space_group_name_H-M 'P -1'
_symmetry_Int_Tables_number 2
_cell_length_a 4.1951
_cell_length_b 5.3781
_cell_length_c 6.9258
_cell_angle_alpha 82.59
_cell_angle_beta 85.58
_cell_angle_gamma 83.60
loop_
_symmetry_equiv_pos_as_xyz
'x,y,z'
'-x,-y,-z'
loop_
_atom_site_label
_atom_site_fract_x
_atom_site_fract_y
_atom_site_fract_z
Pm1 0.1756 0.0199 0.2304
Ni1 0.5000 0.5000 0.0000
Os1 0.5000 0.5000 0.5000
O1 0.2026 0.7799 0.5400
O2 0.2685 0.2808 0.6672
O3 0.2859 0.8280 0.9459
O4 0.2908 0.4409 0.2765
```

***

The following is a theoretical powder XRD pattern of NiSbOsO. It was derived from a structure optimized by DFT (PBE+U), using Cu Kα, 1.54184 Å.
Peak positions follow from Bragg's law for the DFT cell and can differ from measured ones.

Most intense lines, 10° ≤ 2θ ≤ 90°, sorted by position:
2θ = 16.98°, d = 5.221 Å, intensity 70
2θ = 26.83°, d = 3.323 Å, intensity 54
2θ = 37.02°, d = 2.428 Å, intensity 100
2θ = 39.99°, d = 2.255 Å, intensity 33
2θ = 41.62°, d = 2.170 Å, intensity 32
2θ = 43.51°, d = 2.080 Å, intensity 30
2θ = 45.01°, d = 2.014 Å, intensity 25
2θ = 47.91°, d = 1.899 Å, intensity 43

Crystal structure
```
data_NiSbOsO
_symmetry_space_group_name_H-M 'C 1 m 1'
_symmetry_Int_Tables_number 8
_cell_length_a 8.3277
_cell_length_b 2.9296
_cell_length_c 5.2255
_cell_angle_alpha 90.00
_cell_angle_beta 92.43
_cell_angle_gamma 90.00
loop_
_symmetry_equiv_pos_as_xyz
'x,y,z'
'x,-y,z'
'x+1/2,y+1/2,z'
'x+1/2,-y+1/2,z'
loop_
_atom_site_label
_atom_site_fract_x
_atom_site_fract_y
_atom_site_fract_z
Ni1 0.0000 0.0000 0.0000
Sb1 0.4590 0.0000 0.5165
Os1 0.2319 0.5000 0.2361
O1 0.2289 0.0000 0.9633
```

***

The following is a theoretical powder XRD pattern of Ni2P3O9. It was derived from a structure optimized by DFT (PBE+U), using Cu Kα, 1.54184 Å.
Peak positions follow from Bragg's law for the DFT cell and can differ from measured ones.

Most intense lines, 10° ≤ 2θ ≤ 90°, sorted by position:
2θ = 24.62°, d = 3.616 Å, intensity 100
2θ = 29.61°, d = 3.017 Å, intensity 39
2θ = 33.84°, d = 2.649 Å, intensity 97
2θ = 43.49°, d = 2.081 Å, intensity 19
2θ = 47.51°, d = 1.914 Å, intensity 18
2θ = 49.68°, d = 1.835 Å, intensity 31
2θ = 50.48°, d = 1.808 Å, intensity 21
2θ = 61.47°, d = 1.508 Å, intensity 16

Crystal structure
```
data_Ni2P3O9
_symmetry_space_group_name_H-M 'P 63/m c m'
_symmetry_Int_Tables_number 193
_symmetry_space_group_name_Hall '-P 6c 2'
_cell_length_a 6.3566
_cell_length_b 6.3566
_cell_length_c 9.5896
_cell_angle_alpha 90.00
_cell_angle_beta 90.00
_cell_angle_gamma 120.00
loop_
_atom_site_label
_atom_site_fract_x
_atom_site_fract_y
_atom_site_fract_z
Ni1 0.3333 0.6667 0.0000
P1 0.0000 0.2692 0.2500
O1 0.0000 0.2274 0.7500
O2 0.0000 0.3877 0.1134
```

***

The following is a theoretical powder XRD pattern of NiPO5. It was derived from a structure optimized by DFT (PBE+U), using Cu Kα, 1.54184 Å.
Peak positions follow from Bragg's law for the DFT cell and can differ from measured ones.

Most intense lines, 10° ≤ 2θ ≤ 90°, sorted by position:
2θ = 12.44°, d = 7.113 Å, intensity 100
2θ = 18.26°, d = 4.857 Å, intensity 12
2θ = 22.06°, d = 4.030 Å, intensity 21
2θ = 25.85°, d = 3.447 Å, intensity 15
2θ = 29.11°, d = 3.068 Å, intensity 27
2θ = 32.58°, d = 2.748 Å, intensity 33
2θ = 37.80°, d = 2.380 Å, intensity 15
2θ = 42.41°, d = 2.132 Å, intensity 9

Crystal structure
```
data_NiPO5
_symmetry_space_group_name_H-M 'P 1 21 1'
_symmetry_Int_Tables_number 4
_cell_length_a 5.5800
_cell_length_b 4.8912
_cell_length_c 7.2819
_cell_angle_alpha 90.00
_cell_angle_beta 102.36
_cell_angle_gamma 90.00
loop_
_symmetry_equiv_pos_as_xyz
'x,y,z'
'-x,y+1/2,-z'
loop_
_atom_site_label
_atom_site_fract_x
_atom_site_fract_y
_atom_site_fract_z
Ni1 0.2386 0.0000 0.4734
P1 0.3108 0.4249 0.7305
O1 0.0683 0.2694 0.6421
O2 0.1463 0.2460 0.2678
O3 0.2800 0.7328 0.6908
O4 0.3882 0.3858 0.9457
O5 0.5001 0.2909 0.6271
```